Diffraction record for Rb2SmCl5. The powder X-ray diffraction pattern is simulated, not measured: it uses a structure optimized by DFT (PBE) and λ = 1.5418 Å (Cu Kα).

Structure:
Cell lengths 13.6642, 8.8292, 8.3551 Å; angles 90.00, 90.00, 90.00 degrees
Space group Pnma (No. 62)
Asymmetric unit:
Rb 0.1739 0.0004 0.0347 x8
Sm 0.0019 0.2500 0.5708 x4
Cl 0.0137 0.2500 0.9017 x4
Cl 0.0782 0.5393 0.6510 x8
Cl 0.1610 0.2500 0.3684 x4
Cl 0.1915 0.7500 0.3355 x4

Principal peaks in the range 15° ≤ 2θ ≤ 90°, in order of rising 2θ:
two_theta, Rel. int.
22.2, 100
23.7, 87
24.0, 62
30.2, 60
32.3, 80
40.3, 58

Diffraction record for RbSm2Cl5. The powder X-ray diffraction pattern is simulated, not measured: it uses a structure optimized by DFT (PBE) and λ = 1.5418 Å (Cu Kα).

Structure:
Cell lengths 8.9787, 7.1425, 13.3928 Å; angles 90.00, 90.88, 90.00 degrees
Space group P2_1/c (No. 14)
Asymmetric unit:
Rb 0.0001 0.0680 0.1626 x4
Sm 0.3040 0.5274 0.9988 x4
Sm 0.4910 0.1028 0.1592 x4
Cl 0.0407 0.1655 0.4215 x4
Cl 0.2643 0.1378 0.6874 x4
Cl 0.2745 0.6566 0.7919 x4
Cl 0.2987 0.5541 0.4991 x4
Cl 0.4762 0.1946 0.3670 x4

Principal peaks in the range 15° ≤ 2θ ≤ 90°, in order of rising 2θ:
two_theta, Rel. int.
23.5, 100
24.3, 39
24.4, 50
32.7, 66
33.1, 39
40.2, 52

Diffraction record for RbSnCl3. The powder X-ray diffraction pattern is simulated, not measured: it uses a structure optimized by DFT (PBE) and λ = 1.5418 Å (Cu Kα).

Structure:
Cell lengths 7.9151, 7.9205, 5.6129 Å; angles 90.00, 90.84, 90.00 degrees
Space group Cm (No. 8)
Asymmetric unit:
Rb 0.0000 0.0000 0.0000 x2
Sn 0.0185 0.5000 0.4613 x2
Cl 0.0143 0.5000 0.9744 x2
Cl 0.2715 0.2528 0.4572 x4

Principal peaks in the range 15° ≤ 2θ ≤ 90°, in order of rising 2θ:
two_theta, Rel. int.
15.8, 32
22.3, 46
22.5, 94
31.9, 100
45.8, 23
46.0, 23

Diffraction record for RbSnCl3. The powder X-ray diffraction pattern is simulated, not measured: it uses a structure optimized by DFT (PBE) and λ = 1.5418 Å (Cu Kα).

Structure:
Cell lengths 7.9917, 7.9917, 19.0392 Å; angles 90.00, 90.00, 120.00 degrees
Space group R3c (No. 161, hexagonal axes)
Asymmetric unit:
Rb 0.0000 0.0000 0.0000 x6
Sn 0.0000 0.0000 0.2283 x6
Cl 0.1015 0.3654 0.3130 x18

Principal peaks in the range 15° ≤ 2θ ≤ 90°, in order of rising 2θ:
two_theta, Rel. int.
15.8, 43
22.2, 91
22.7, 93
32.0, 100
39.0, 44
39.3, 59

Diffraction record for RbSr2Cl5. The powder X-ray diffraction pattern is simulated, not measured: it uses a structure optimized by DFT (PBE) and λ = 1.5418 Å (Cu Kα).

Structure:
Cell lengths 9.0950, 8.0391, 13.0330 Å; angles 90.00, 90.27, 90.00 degrees
Space group P2_1/c (No. 14)
Asymmetric unit:
Rb 0.0059 0.0381 0.3301 x4
Sr 0.2538 0.5634 0.4946 x4
Sr 0.5004 0.0206 0.3228 x4
Cl 0.0301 0.1633 0.0864 x4
Cl 0.2774 0.6940 0.7121 x4
Cl 0.2900 0.1687 0.8178 x4
Cl 0.2902 0.5530 0.9959 x4
Cl 0.4613 0.1586 0.1028 x4

Principal peaks in the range 15° ≤ 2θ ≤ 90°, in order of rising 2θ:
two_theta, Rel. int.
23.3, 100
23.5, 71
30.5, 83
32.7, 68
32.8, 61
39.6, 73

Diffraction record for RbTaCl6. The powder X-ray diffraction pattern is simulated, not measured: it uses a structure optimized by DFT (PBE) and λ = 1.5418 Å (Cu Kα).

Structure:
Cell lengths 12.4418, 6.5266, 12.6133 Å; angles 90.00, 102.09, 90.00 degrees
Space group C2/c (No. 15)
Asymmetric unit:
Rb 0.0000 0.1188 0.2500 x4
Ta 0.2500 0.2500 0.0000 x4
Cl 0.0826 0.3808 0.8973 x8
Cl 0.1562 0.0472 0.5399 x8
Cl 0.2146 0.4140 0.1574 x8

Principal peaks in the range 15° ≤ 2θ ≤ 90°, in order of rising 2θ:
two_theta, Rel. int.
16.3, 58
17.6, 100
18.2, 52
22.6, 32
25.4, 38
41.0, 39

Diffraction record for Rb2TcCl6. The powder X-ray diffraction pattern is simulated, not measured: it uses a structure optimized by DFT (PBE) and λ = 1.5418 Å (Cu Kα).

Structure:
Cell lengths 10.3619, 10.3619, 10.3619 Å; angles 90.00, 90.00, 90.00 degrees
Space group Fm-3m (No. 225)
Asymmetric unit:
Rb 0.2500 0.2500 0.2500 x8
Tc 0.0000 0.0000 0.0000 x4
Cl 0.0000 0.0000 0.2290 x24

Principal peaks in the range 15° ≤ 2θ ≤ 90°, in order of rising 2θ:
two_theta, Rel. int.
24.3, 92
28.6, 25
29.9, 70
34.6, 100
42.8, 39
49.8, 63

Diffraction record for RbTiCl3. The powder X-ray diffraction pattern is simulated, not measured: it uses a structure optimized by DFT (PBE) and λ = 1.5418 Å (Cu Kα).

Structure:
Cell lengths 7.4184, 7.4184, 5.6018 Å; angles 90.00, 90.00, 120.00 degrees
Space group P6_3/mmc (No. 194)
Asymmetric unit:
Rb 0.3333 0.6667 0.2500 x2
Ti 0.0000 0.0000 0.0000 x2
Cl 0.1631 0.3261 0.7500 x6

Principal peaks in the range 15° ≤ 2θ ≤ 90°, in order of rising 2θ:
two_theta, Rel. int.
21.0, 20
24.0, 36
32.1, 100
42.8, 31
49.1, 28
57.1, 17